Record 1
Computed powder XRD pattern
Compound: AlCdTc
Radiation: copper Kα
Structure: a DFT-relaxed cell (GGA-PBE, Alexandria)

Peak list (6 most intense, 2θ = 5–70°, sorted by position)
Position (°2θ), I (rel.)
13.32, 300
26.83, 133
33.51, 198
38.74, 1000
40.54, 224
40.73, 202

```
12
Lattice="3.458 0.000 0.000 0.000 4.450 0.000 0.000 0.000 13.292" Properties=species:S:1:pos:R:3 pbc="T T T"
Al 0.000 0.000 0.000
Al 0.000 2.225 6.646
Al 1.729 0.000 6.646
Al 1.729 2.225 0.000
Cd 0.000 0.000 9.116
Cd 0.000 2.225 2.470
Cd 1.729 0.000 2.470
Cd 1.729 2.225 9.116
Tc 0.000 0.000 4.792
Tc 0.000 2.225 11.438
Tc 1.729 0.000 11.438
Tc 1.729 2.225 4.792
```

Record 2
Computed powder XRD pattern
Compound: BaSc
Radiation: copper Kα
Structure: a DFT-relaxed cell (GGA-PBE, Alexandria)

Peak list (6 most intense, 2θ = 5–70°, sorted by position)
Position (°2θ), I (rel.)
23.81, 773
27.14, 285
28.57, 1000
31.32, 626
41.91, 348
54.07, 319

```
4
Lattice="4.039 0.000 0.000 0.000 4.039 0.000 0.000 0.000 9.857" Properties=species:S:1:pos:R:3 pbc="T T T"
Ba 1.010 1.010 1.742
Ba 3.029 3.029 8.115
Sc 1.010 1.010 5.626
Sc 3.029 3.029 4.232
```

Record 3
Computed powder XRD pattern
Compound: ErPuBr6
Radiation: copper Kα
Structure: a DFT-relaxed cell (GGA-PBE, Alexandria)

Peak list (6 most intense, 2θ = 5–70°, sorted by position)
Position (°2θ), I (rel.)
17.04, 1000
23.17, 400
28.67, 627
37.37, 682
40.00, 210
44.36, 393

```
8
Lattice="3.537 2.042 6.567 -3.537 2.042 6.567 0.000 -4.084 6.567" Properties=species:S:1:pos:R:3 pbc="T T T"
Er 0.000 0.000 0.000
Pu 0.000 0.000 9.850
Br -2.345 0.085 8.162
Br -1.246 -1.988 11.538
Br 1.099 -2.073 8.162
Br -1.099 2.073 11.538
Br 1.246 1.988 8.162
Br 2.345 -0.085 11.538
```

Record 4
Computed powder XRD pattern
Compound: SmTiFe11C
Radiation: copper Kα
Structure: a DFT-relaxed cell (GGA-PBE, Alexandria)

Peak list (6 most intense, 2θ = 5–70°, sorted by position)
Position (°2θ), I (rel.)
29.66, 346
36.63, 331
42.22, 252
42.41, 780
42.53, 1000
47.81, 307

```
14
Lattice="-2.454 4.281 4.247 2.454 -4.281 4.247 2.454 4.281 -4.247" Properties=species:S:1:pos:R:3 pbc="T T T"
Sm 0.000 0.000 0.000
Ti 0.000 0.000 3.178
Fe 1.225 2.128 -2.070
Fe 3.683 2.128 -2.070
Fe 2.454 1.886 0.079
Fe 2.454 0.000 1.958
Fe 0.000 3.075 0.059
Fe -1.229 2.153 2.177
Fe 1.229 2.153 2.177
Fe 0.000 5.487 0.059
Fe 0.000 0.000 5.516
Fe 0.000 4.281 2.391
Fe 0.000 2.394 4.326
C 2.454 0.000 0.047
```

Record 5
Computed powder XRD pattern
Compound: Pr3Si6Pd2Au
Radiation: copper Kα
Structure: a DFT-relaxed cell (GGA-PBE, Alexandria)

Peak list (6 most intense, 2θ = 5–70°, sorted by position)
Position (°2θ), I (rel.)
27.72, 531
30.45, 1000
36.96, 288
37.51, 661
41.64, 285
47.25, 213

```
12
Lattice="5.871 0.000 0.000 -2.936 5.085 0.000 0.000 0.000 8.313" Properties=species:S:1:pos:R:3 pbc="T T T"
Pr 0.000 0.000 0.000
Pr 0.000 3.390 5.138
Pr 2.936 1.695 3.175
Si 0.000 1.984 2.308
Si -1.218 4.093 2.308
Si 1.718 0.992 6.005
Si 1.218 4.093 2.308
Si 4.153 0.992 6.005
Si 2.936 3.101 6.005
Pd 0.000 3.390 0.229
Pd 2.936 1.695 8.084
Au 0.000 0.000 4.157
```

Record 6
Computed powder XRD pattern
Compound: CaSm2Cd5
Radiation: copper Kα
Structure: a DFT-relaxed cell (GGA-PBE, Alexandria)

Peak list (6 most intense, 2θ = 5–70°, sorted by position)
Position (°2θ), I (rel.)
33.53, 1000
35.06, 462
45.79, 90
50.42, 160
58.94, 165
61.91, 324

```
16
Lattice="5.119 0.000 0.000 0.000 5.119 0.000 0.000 0.000 15.854" Properties=species:S:1:pos:R:3 pbc="T T T"
Ca 0.000 0.000 0.000
Ca 2.560 2.560 7.927
Sm 0.000 0.000 4.156
Sm 0.000 0.000 11.697
Sm 2.560 2.560 3.771
Sm 2.560 2.560 12.083
Cd 0.000 0.000 7.927
Cd 0.000 2.560 1.881
Cd 0.000 2.560 6.046
Cd 0.000 2.560 9.807
Cd 0.000 2.560 13.973
Cd 2.560 0.000 1.881
Cd 2.560 0.000 6.046
Cd 2.560 0.000 9.807
Cd 2.560 0.000 13.973
Cd 2.560 2.560 0.000
```

Record 7
Computed powder XRD pattern
Compound: Al6Zn2Ga3
Radiation: copper Kα
Structure: a DFT-relaxed cell (GGA-PBE, Alexandria)

Peak list (6 most intense, 2θ = 5–70°, sorted by position)
Position (°2θ), I (rel.)
17.37, 272
38.17, 1000
38.81, 281
44.56, 609
64.40, 208
65.28, 155

```
11
Lattice="1.447 0.835 25.523 -1.447 0.835 25.523 0.000 -1.670 25.523" Properties=species:S:1:pos:R:3 pbc="T T T"
Al 0.000 0.000 7.195
Al 0.000 0.000 13.915
Al 0.000 0.000 27.929
Al 0.000 0.000 48.641
Al 0.000 0.000 62.655
Al 0.000 0.000 69.375
Zn 0.000 0.000 34.920
Zn 0.000 0.000 41.650
Ga 0.000 0.000 0.000
Ga 0.000 0.000 20.709
Ga 0.000 0.000 55.861
```

Record 8
Computed powder XRD pattern
Compound: SmPuCu4
Radiation: copper Kα
Structure: a DFT-relaxed cell (GGA-PBE, Alexandria)

Peak list (6 most intense, 2θ = 5–70°, sorted by position)
Position (°2θ), I (rel.)
23.42, 279
28.80, 395
34.44, 1000
37.43, 532
46.33, 335
47.89, 318

```
12
Lattice="3.920 0.000 0.000 0.000 3.920 0.000 0.000 0.000 15.202" Properties=species:S:1:pos:R:3 pbc="T T T"
Sm 0.000 0.000 0.000
Sm 1.960 1.960 7.601
Pu 0.000 1.960 3.801
Pu 1.960 0.000 11.402
Cu 0.000 0.000 6.377
Cu 0.000 0.000 8.825
Cu 0.000 1.960 10.189
Cu 0.000 1.960 12.614
Cu 1.960 0.000 2.588
Cu 1.960 0.000 5.013
Cu 1.960 1.960 1.224
Cu 1.960 1.960 13.978
```

Record 9
Computed powder XRD pattern
Compound: NaUMn4S8
Radiation: copper Kα
Structure: a DFT-relaxed cell (GGA-PBE, Alexandria)

Peak list (6 most intense, 2θ = 5–70°, sorted by position)
Position (°2θ), I (rel.)
14.54, 1000
27.59, 388
27.93, 791
33.79, 690
48.11, 361
48.96, 376

```
14
Lattice="3.721 2.148 6.230 -3.721 2.148 6.230 0.000 -4.296 6.230" Properties=species:S:1:pos:R:3 pbc="T T T"
Na 0.000 0.000 0.000
U 0.000 0.000 11.870
Mn -1.904 -1.100 8.713
Mn 0.000 0.000 4.977
Mn 1.904 -1.100 8.713
Mn 0.000 2.199 8.713
S 0.000 -2.086 10.190
S -1.807 1.043 10.190
S 0.000 0.000 7.426
S -1.700 -0.982 13.575
S 0.000 0.000 16.148
S 1.807 1.043 10.190
S 1.700 -0.982 13.575
S 0.000 1.964 13.575
```

Record 10
Computed powder XRD pattern
Compound: CaAg2F8
Radiation: copper Kα
Structure: a DFT-relaxed cell (GGA-PBE, Alexandria)

Peak list (6 most intense, 2θ = 5–70°, sorted by position)
Position (°2θ), I (rel.)
13.36, 1000
15.33, 816
21.76, 798
27.34, 498
34.62, 364
42.74, 318

```
22
Lattice="4.409 -5.126 0.000 4.409 5.126 0.000 -1.650 0.000 9.352" Properties=species:S:1:pos:R:3 pbc="T T T"
Ca 3.171 3.148 7.014
Ca 3.996 -3.148 2.338
Ag 0.661 0.823 5.416
Ag 1.486 -0.823 0.740
Ag 5.681 0.823 8.612
Ag 6.506 -0.823 3.936
F 0.109 0.071 3.665
F -0.716 -0.071 8.341
F 1.758 0.962 1.483
F 1.427 1.608 7.052
F 2.704 2.580 4.731
F 0.933 -0.962 6.159
F 3.638 2.580 9.297
F 2.252 -1.608 2.376
F 4.915 1.608 6.976
F 3.529 -2.580 0.055
F 6.234 0.962 3.193
F 4.463 -2.580 4.621
F 5.740 -1.608 2.300
F 5.409 -0.962 7.869
F 7.884 0.071 1.011
F 7.058 -0.071 5.687
```

Record 11
Computed powder XRD pattern
Compound: PuPd6Pt3
Radiation: copper Kα
Structure: a DFT-relaxed cell (GGA-PBE, Alexandria)

Peak list (6 most intense, 2θ = 5–70°, sorted by position)
Position (°2θ), I (rel.)
9.76, 363
23.60, 196
38.92, 452
39.78, 322
42.73, 1000
67.83, 209

```
10
Lattice="4.786 0.000 0.000 -2.393 4.145 0.000 0.000 0.000 9.065" Properties=species:S:1:pos:R:3 pbc="T T T"
Pu 0.000 0.000 0.000
Pd -0.816 1.414 6.915
Pd -1.577 2.731 2.149
Pd 1.633 0.000 6.915
Pd 0.816 1.414 2.149
Pd 3.153 0.000 2.149
Pd 1.577 2.731 6.915
Pt 0.000 0.000 4.532
Pt 0.000 2.763 4.532
Pt 2.393 1.382 4.532
```

Record 12
Computed powder XRD pattern
Compound: K2Zn2SnTe4
Radiation: copper Kα
Structure: a DFT-relaxed cell (GGA-PBE, Alexandria)

Peak list (6 most intense, 2θ = 5–70°, sorted by position)
Position (°2θ), I (rel.)
11.03, 1000
22.46, 585
28.94, 828
30.36, 453
38.18, 525
40.22, 372

```
9
Lattice="8.435 -2.242 0.000 8.435 2.242 0.000 -2.927 0.000 8.024" Properties=species:S:1:pos:R:3 pbc="T T T"
K 1.996 0.000 0.394
K 11.948 0.000 7.630
Zn 4.010 0.000 4.196
Zn 9.934 0.000 3.828
Sn -1.463 0.000 4.012
Te 1.482 0.000 5.430
Te 5.885 0.000 6.023
Te 8.059 0.000 2.001
Te 12.462 0.000 2.595
```